# 1
Starting from the PBE geometry in Alexandria, the PXRD pattern of Pm2Nd9Dy was computed for copper Kα.
Kinematic intensities with the Lorentz-polarization factor, no thermal factor.

Structural model:
Cell lengths 5.180, 5.180, 15.533 Å; angles 90.00, 90.00, 90.00 degrees
Space group P4/mmm (No. 123)
Symmetry-distinct sites (fractional):
Pm (0.000, 0.000, 0.168) [2 per cell]
Nd (0.000, 0.500, 0.000) [2 per cell]
Nd (0.000, 0.500, 0.335) [4 per cell]
Nd (0.500, 0.500, 0.168) [2 per cell]
Nd (0.500, 0.500, 0.500) [1 per cell]
Dy (0.000, 0.000, 0.500) [1 per cell]

Most intense lines, 10 to 90 degrees two-theta, low angle first:
two_theta  I_rel  (hkl)
29.9  100  1 1 3
34.6  51  2 0 0
49.8  36  2 2 0
59.2  43  3 1 3
62.1  12  2 2 6
73.1  6  4 0 0
80.9  18  3 3 3
83.5  16  4 2 0

---

# 2
Starting from the PBE geometry in Alexandria, the PXRD pattern of HfNb2P2 was computed for copper Kα.
Kinematic intensities with the Lorentz-polarization factor, no thermal factor.

Structural model:
Cell lengths 6.920, 6.920, 3.385 Å; angles 90.00, 90.00, 90.00 degrees
Space group P4/mbm (No. 127)
Symmetry-distinct sites (fractional):
Hf (0.000, 0.000, 0.000) [2 per cell]
Nb (0.150, 0.350, 0.500) [4 per cell]
P (0.144, 0.644, 0.000) [4 per cell]

Most intense lines, 10 to 90 degrees two-theta, low angle first:
two_theta  I_rel  (hkl)
18.1  27  1 1 0
28.8  26  2 1 0
32.2  94  1 1 1
36.7  27  2 2 0
37.2  65  2 0 1
39.5  84  2 1 1
41.3  100  3 1 0
70.3  41  3 1 2

---

# 3
Starting from the PBE geometry in Alexandria, the PXRD pattern of CePmCu was computed for copper Kα.
Kinematic intensities with the Lorentz-polarization factor, no thermal factor.

Structural model:
Cell lengths 3.545, 3.545, 12.282 Å; angles 90.00, 90.00, 90.00 degrees
Space group I4mm (No. 107)
Symmetry-distinct sites (fractional):
Ce (0.000, 0.000, 0.000) [2 per cell]
Pm (0.000, 0.000, 0.715) [2 per cell]
Cu (0.000, 0.000, 0.360) [2 per cell]

Most intense lines, 10 to 90 degrees two-theta, low angle first:
two_theta  I_rel  (hkl)
26.2  21  1 0 1
29.1  12  0 0 4
33.4  100  1 0 3
35.8  49  1 1 0
46.8  13  1 1 4
51.6  17  2 0 0
58.7  14  1 0 7
62.9  31  2 1 3

---

# 4
Starting from the PBE geometry in Alexandria, the PXRD pattern of K2Cd3Ga was computed for copper Kα.
Kinematic intensities with the Lorentz-polarization factor, no thermal factor.

Structural model:
Cell lengths 10.697, 6.406, 6.137 Å; angles 90.00, 123.97, 90.00 degrees
Space group C2/m (No. 12)
Symmetry-distinct sites (fractional):
K (0.126, 0.000, 0.374) [4 per cell]
Cd (0.000, 0.500, 0.500) [2 per cell]
Cd (0.250, 0.250, 0.000) [4 per cell]
Ga (0.000, 0.500, 0.000) [2 per cell]

Most intense lines, 10 to 90 degrees two-theta, low angle first:
two_theta  I_rel  (hkl)
17.1  54  1 1 0
17.7  66  2 0 -1
33.0  70  0 2 1
33.4  72  2 0 1
34.5  100  2 2 0
35.3  47  0 0 2
35.9  46  4 0 -2
40.7  62  4 0 0

---

# 5
Starting from the PBE geometry in Alexandria, the PXRD pattern of Ac6CoHg3 was computed for copper Kα.
Kinematic intensities with the Lorentz-polarization factor, no thermal factor.

Structural model:
Cell lengths 8.143, 8.330, 12.710 Å; angles 90.00, 120.58, 90.00 degrees
Space group P2_1/c (No. 14)
Symmetry-distinct sites (fractional):
Ac (0.071, 0.053, 0.240) [4 per cell]
Ac (0.218, 0.696, 0.079) [4 per cell]
Ac (0.341, 0.169, 0.060) [4 per cell]
Co (0.000, 0.000, 0.000) [2 per cell]
Hg (0.330, 0.112, 0.782) [4 per cell]
Hg (0.500, 0.000, 0.500) [2 per cell]

Most intense lines, 10 to 90 degrees two-theta, low angle first:
two_theta  I_rel  (hkl)
25.2  55  1 0 2
26.0  65  1 2 -2
26.9  100  2 1 -3
28.2  85  1 2 1
28.4  46  1 0 -4
30.4  46  1 1 -4
34.2  43  1 3 -1
36.6  56  3 1 -1

---

# 6
Starting from the PBE geometry in Alexandria, the PXRD pattern of NbAlMo14 was computed for copper Kα.
Kinematic intensities with the Lorentz-polarization factor, no thermal factor.

Structural model:
Cell lengths 6.325, 8.961, 8.975 Å; angles 90.00, 90.00, 90.00 degrees
Space group Cmmm (No. 65)
Symmetry-distinct sites (fractional):
Nb (0.000, 0.000, 0.000) [2 per cell]
Al (0.000, 0.500, 0.000) [2 per cell]
Mo (0.000, 0.000, 0.500) [2 per cell]
Mo (0.000, 0.254, 0.248) [8 per cell]
Mo (0.000, 0.500, 0.500) [2 per cell]
Mo (0.249, 0.000, 0.255) [8 per cell]
Mo (0.250, 0.250, 0.000) [4 per cell]
Mo (0.250, 0.250, 0.500) [4 per cell]

Most intense lines, 10 to 90 degrees two-theta, low angle first:
two_theta  I_rel  (hkl)
19.8  1  0 2 0
40.3  100  2 2 2
58.2  11  0 4 4
58.4  5  4 0 0
73.1  22  2 6 2
73.3  11  4 4 0
86.8  2  0 0 8
87.0  9  4 4 4

---

# 7
Starting from the PBE geometry in Alexandria, the PXRD pattern of PmHo5Al was computed for copper Kα.
Kinematic intensities with the Lorentz-polarization factor, no thermal factor.

Structural model:
Cell lengths 7.749, 11.340, 6.105 Å; angles 90.00, 90.00, 90.00 degrees
Space group Imm2 (No. 44)
Symmetry-distinct sites (fractional):
Pm (0.000, 0.000, 0.000) [2 per cell]
Ho (0.000, 0.256, 0.383) [4 per cell]
Ho (0.000, 0.500, 0.708) [2 per cell]
Ho (0.190, 0.000, 0.510) [4 per cell]
Al (0.000, 0.500, 0.242) [2 per cell]

Most intense lines, 10 to 90 degrees two-theta, low angle first:
two_theta  I_rel  (hkl)
15.6  46  0 2 0
18.5  39  1 0 1
24.3  100  1 2 1
28.4  79  2 1 1
31.6  71  0 4 0
32.5  51  1 1 2
36.3  37  2 3 1
41.2  74  3 2 1

---

# 8
Starting from the PBE geometry in Alexandria, the PXRD pattern of Er3GaSe6 was computed for copper Kα.
Kinematic intensities with the Lorentz-polarization factor, no thermal factor.

Structural model:
Cell lengths 11.131, 13.856, 6.727 Å; angles 90.00, 90.00, 90.00 degrees
Space group Cmc2_1 (No. 36)
Symmetry-distinct sites (fractional):
Er (0.000, 0.096, 0.000) [4 per cell]
Er (0.184, 0.402, 0.100) [8 per cell]
Ga (0.000, 0.297, 0.635) [4 per cell]
Se (0.000, 0.281, 0.276) [4 per cell]
Se (0.000, 0.461, 0.785) [4 per cell]
Se (0.163, 0.034, 0.298) [8 per cell]
Se (0.169, 0.231, 0.821) [8 per cell]

Most intense lines, 10 to 90 degrees two-theta, low angle first:
two_theta  I_rel  (hkl)
16.7  28  1 1 1
24.4  100  2 2 1
24.7  57  1 3 1
33.7  82  3 3 1
36.6  80  3 1 2
37.3  57  0 4 2
40.6  60  3 5 0
49.1  31  6 0 0

---

# 9
Starting from the PBE geometry in Alexandria, the PXRD pattern of Ho5TmZn6 was computed for copper Kα.
Kinematic intensities with the Lorentz-polarization factor, no thermal factor.

Structural model:
Cell lengths 5.010, 15.041, 7.113 Å; angles 90.00, 90.00, 90.00 degrees
Space group Cmmm (No. 65)
Symmetry-distinct sites (fractional):
Ho (0.000, 0.000, 0.000) [2 per cell]
Ho (0.000, 0.333, 0.000) [4 per cell]
Ho (0.000, 0.334, 0.500) [4 per cell]
Tm (0.000, 0.000, 0.500) [2 per cell]
Zn (0.000, 0.166, 0.251) [8 per cell]
Zn (0.000, 0.500, 0.252) [4 per cell]

Most intense lines, 10 to 90 degrees two-theta, low angle first:
two_theta  I_rel  (hkl)
25.1  19  1 3 0
35.8  100  2 0 0
51.4  6  0 0 4
51.6  12  2 6 0
64.2  12  2 0 4
64.4  24  3 3 2
75.8  7  2 6 4
86.9  10  4 6 0

---

# 10
Starting from the PBE geometry in Alexandria, the PXRD pattern of RbNp2TlI8 was computed for copper Kα.
Kinematic intensities with the Lorentz-polarization factor, no thermal factor.

Structural model:
Cell lengths 8.5360, 8.5360, 9.1418 Å; angles 90.00, 90.00, 120.00 degrees
Space group P-3 (No. 147)
Symmetry-distinct sites (fractional):
Rb (0.0000, 0.0000, 0.0000) [1 per cell]
Np (0.3333, 0.6667, 0.4143) [2 per cell]
Tl (0.0000, 0.0000, 0.5000) [1 per cell]
I (0.0581, 0.3857, 0.6611) [6 per cell]
I (0.3333, 0.6667, 0.0834) [2 per cell]

Most intense lines, 10 to 90 degrees two-theta, low angle first:
two_theta  I_rel  (hkl)
20.8  56  1 1 0
23.0  51  2 -1 1
26.0  36  0 2 1
28.6  100  2 -1 2
31.8  35  1 0 3
33.5  35  3 -2 1
36.5  68  3 0 0
44.0  37  2 1 3

---

# 11
Starting from the PBE geometry in Alexandria, the PXRD pattern of Hf3Zn2Co was computed for copper Kα.
Kinematic intensities with the Lorentz-polarization factor, no thermal factor.

Structural model:
Cell lengths 10.805, 4.030, 9.852 Å; angles 90.00, 90.00, 90.00 degrees
Space group Pnma (No. 62)
Symmetry-distinct sites (fractional):
Hf (0.040, 0.250, 0.132) [4 per cell]
Hf (0.126, 0.750, 0.570) [4 per cell]
Hf (0.232, 0.250, 0.804) [4 per cell]
Zn (0.006, 0.750, 0.313) [4 per cell]
Zn (0.185, 0.750, 0.018) [4 per cell]
Co (0.125, 0.250, 0.383) [4 per cell]

Most intense lines, 10 to 90 degrees two-theta, low angle first:
two_theta  I_rel  (hkl)
29.1  68  2 1 1
30.8  45  3 0 2
33.2  40  2 1 2
35.3  80  0 1 3
37.4  36  1 0 4
38.2  100  3 1 2
41.3  40  4 1 1
45.0  61  0 2 0

---

# 12
Starting from the PBE geometry in Alexandria, the PXRD pattern of SrPdSe was computed for copper Kα.
Kinematic intensities with the Lorentz-polarization factor, no thermal factor.

Structural model:
Cell lengths 6.094, 6.092, 8.397 Å; angles 90.00, 111.25, 90.00 degrees
Space group Cc (No. 9)
Symmetry-distinct sites (fractional):
Sr (0.000, 0.125, 0.000) [4 per cell]
Pd (0.081, 0.375, 0.662) [4 per cell]
Se (0.418, 0.126, 0.836) [4 per cell]

Most intense lines, 10 to 90 degrees two-theta, low angle first:
two_theta  I_rel  (hkl)
21.4  23  1 1 0
31.5  100  2 0 0
35.4  62  1 1 -3
41.9  49  2 2 -1
45.7  43  1 1 3
56.0  33  1 3 2
63.8  24  1 3 -4
87.4  21  2 2 5

---

# 13
Starting from the PBE geometry in Alexandria, the PXRD pattern of YSc8Sn6 was computed for copper Kα.
Kinematic intensities with the Lorentz-polarization factor, no thermal factor.

Structural model:
Cell lengths 8.5877, 8.5877, 18.4876 Å; angles 90.00, 90.00, 120.00 degrees
Space group R-3 (No. 148, hexagonal axes)
Symmetry-distinct sites (fractional):
Y (0.0000, 0.0000, 0.0000) [3 per cell]
Sc (0.0000, 0.0000, 0.3331) [6 per cell]
Sc (0.0000, 0.3315, 0.1057) [18 per cell]
Sn (0.9998, 0.3395, 0.9310) [18 per cell]

Most intense lines, 10 to 90 degrees two-theta, low angle first:
two_theta  I_rel  (hkl)
20.7  30  1 1 0
25.3  63  1 1 3
35.9  87  1 1 6
36.2  100  3 0 0
47.0  27  3 0 6
51.9  30  4 -2 6
64.9  30  4 1 6
65.2  17  3 3 0